Computed X-ray diffraction stick pattern
Compound: BaCo2P2O8
Radiation: Cu Kα (λ = 1.5418 Å)
Structure: the GGA+U geometry in OQMD
Lines closer than 0.1° are merged.

Most intense lines, 2θ = 10–90°, most intense first:
hkl, d/Å, I (rel.)
1 0 1, 3.983, 100
0 1 2, 3.040, 82
1 1 0, 2.636, 57
1 1 3, 1.892, 33
0 2 1, 2.198, 26
2 1 1, 1.688, 20
1 2 2, 1.589, 20
3 0 0, 1.521, 19
2 0 5, 1.327, 16
0 0 1, 8.150, 15

Atomic structure:
```
BaCo2P2O8
1.0
5.2717 0.0000 0.0000
-2.6358 4.5654 0.0000
0.0000 0.0000 8.1504
Ba Co P O
1 2 2 8
Direct
0.0000 0.0000 0.0000
0.3333 0.6667 0.6888
0.6667 0.3333 0.3112
0.3333 0.6667 0.2706
0.6667 0.3333 0.7294
0.0348 0.4237 0.2011
0.3333 0.6667 0.4559
0.3888 0.9652 0.2011
0.4237 0.3888 0.7989
0.5763 0.6112 0.2011
0.6112 0.0348 0.7989
0.6667 0.3333 0.5441
0.9652 0.5763 0.7989
```